Theoretical powder diffraction line list of BaCo2Si2O7 for CuKα, from DFT lattice parameters and positions (PBE+U).
Lines closer than 0.1° are merged.

The 8 most intense peaks (2θ = 10–90°), in order of rising 2θ:
19.21 deg, intensity 28
27.70 deg, intensity 82
28.07 deg, intensity 33
28.66 deg, intensity 87
29.50 deg, intensity 100
36.12 deg, intensity 19
39.86 deg, intensity 30
53.21 deg, intensity 21

Cell and atoms:
Lattice parameters (Å, degrees): 7.2899 7.2899 13.7748 90.16 90.16 121.29
Fractional coordinates of all 48 atoms:
Ba 0.1678 0.2136 0.1228
Ba 0.2136 0.1678 0.6228
Ba 0.7864 0.8322 0.3772
Ba 0.8322 0.7864 0.8772
Co 0.1944 0.7380 0.4871
Co 0.2263 0.7737 0.2500
Co 0.2348 0.7652 0.7500
Co 0.2620 0.8056 0.0129
Co 0.7380 0.1944 0.9871
Co 0.7652 0.2348 0.2500
Co 0.7737 0.2263 0.7500
Co 0.8056 0.2620 0.5129
Si 0.1697 0.4172 0.8660
Si 0.2205 0.4313 0.3821
Si 0.4172 0.1697 0.3660
Si 0.4313 0.2205 0.8821
Si 0.5687 0.7795 0.1179
Si 0.5828 0.8303 0.6340
Si 0.7795 0.5687 0.6179
Si 0.8303 0.5828 0.1340
O 0.0122 0.2269 0.9403
O 0.0519 0.2796 0.2993
O 0.0904 0.3679 0.7520
O 0.1200 0.3890 0.4911
O 0.1986 0.6518 0.8875
O 0.2269 0.0122 0.4403
O 0.2796 0.0519 0.7993
O 0.3081 0.6721 0.1339
O 0.3279 0.6919 0.3661
O 0.3482 0.8014 0.6125
O 0.3679 0.0904 0.2520
O 0.3890 0.1200 0.9911
O 0.4069 0.4361 0.8777
O 0.4361 0.4069 0.3777
O 0.5639 0.5931 0.6223
O 0.5931 0.5639 0.1223
O 0.6110 0.8800 0.0089
O 0.6321 0.9096 0.7480
O 0.6518 0.1986 0.3875
O 0.6721 0.3081 0.6339
O 0.6919 0.3279 0.8661
O 0.7204 0.9481 0.2007
O 0.7731 0.9878 0.5597
O 0.8014 0.3482 0.1125
O 0.8800 0.6110 0.5089
O 0.9096 0.6321 0.2480
O 0.9481 0.7204 0.7007
O 0.9878 0.7731 0.0597